# Dy2Sc2Te2C
Computed powder XRD pattern, a wavelength of 1.5418 Å. Input: a structure optimized by DFT (GGA-PBE).
Lines closer than 0.1° are merged.

Cell and atoms:
a = 6.8962 Å, b = 6.8962 Å, c = 6.9906 Å
α = 112.61°, β = 112.61°, γ = 32.24°
Atoms (fractional coordinates):
Dy: 0.0064 0.0064 0.2406
Dy: 0.9936 0.9936 0.7594
Sc: 0.3182 0.3182 0.9062
Sc: 0.6818 0.6818 0.0938
Te: 0.3441 0.3441 0.3695
Te: 0.6559 0.6559 0.6305
C: 0.5000 0.5000 0.0000

Top 8 peaks for 2θ = 15–90°, low angle first:
2θ/deg  I_rel
31.46  39
32.18  100
34.97  74
36.55  53
44.78  19
47.49  18
54.58  19
61.38  30